No. 1
Theoretical powder diffraction line list
Compound: PrEr5Cd6
Radiation: λ = 1.5418 Å (Cu Kα)
Structure: a DFT-relaxed cell (GGA-PBE, Alexandria)
Peak positions follow from Bragg's law for the DFT cell and can differ from measured ones.

Top 10 peaks for 10 to 80 degrees two-theta, low angle first:
| 2θ (°) | I/Imax |
| --- | --- |
| 23.82 | 3 |
| 33.83 | 100 |
| 34.03 | 20 |
| 48.40 | 7 |
| 48.76 | 14 |
| 60.37 | 7 |
| 60.51 | 14 |
| 60.58 | 7 |
| 60.77 | 14 |
| 71.15 | 9 |

Structural model:
abc: 5.2694 7.5229 8.3638
angles: 90.00 108.28 90.00
Element x y z (fractional)
Pr (0.0000, 0.0000, 0.0000)
Er (0.0000, 0.5000, 0.0000)
Er (0.3312, 0.0000, 0.6626)
Er (0.3364, 0.5000, 0.6726)
Er (0.6636, 0.5000, 0.3274)
Er (0.6688, 0.0000, 0.3374)
Cd (0.1704, 0.2576, 0.3410)
Cd (0.1704, 0.7424, 0.3410)
Cd (0.5000, 0.2570, 0.0000)
Cd (0.5000, 0.7430, 0.0000)
Cd (0.8296, 0.2576, 0.6590)
Cd (0.8296, 0.7424, 0.6590)



No. 2
Theoretical powder diffraction line list
Compound: BeTc4B
Radiation: λ = 1.5418 Å (Cu Kα)
Structure: a DFT-relaxed cell (GGA-PBE, Alexandria)
Peak positions follow from Bragg's law for the DFT cell and can differ from measured ones.

Top 10 peaks for 10 to 80 degrees two-theta, low angle first:
| 2θ (°) | I/Imax |
| --- | --- |
| 23.27 | 16 |
| 33.14 | 35 |
| 35.80 | 54 |
| 38.29 | 100 |
| 46.34 | 95 |
| 49.58 | 27 |
| 53.61 | 21 |
| 66.15 | 16 |
| 77.41 | 26 |
| 78.32 | 20 |

Structural model:
abc: 6.3068 6.3068 6.3068
angles: 129.24 129.24 74.62
Element x y z (fractional)
Be (0.0000, 0.0000, 0.0000)
Be (0.5000, 0.5000, 0.0000)
Tc (0.0314, 0.5314, 0.8354)
Tc (0.1960, 0.0314, 0.5000)
Tc (0.3040, 0.8040, 0.8354)
Tc (0.4686, 0.3040, 0.5000)
Tc (0.5314, 0.6960, 0.5000)
Tc (0.6960, 0.1960, 0.1646)
Tc (0.8040, 0.9686, 0.5000)
Tc (0.9686, 0.4686, 0.1646)
B (0.2500, 0.2500, 0.0000)
B (0.7500, 0.7500, 0.0000)



No. 3
Theoretical powder diffraction line list
Compound: Er3Co3Ni
Radiation: λ = 1.5418 Å (Cu Kα)
Structure: a DFT-relaxed cell (GGA-PBE, Alexandria)
Peak positions follow from Bragg's law for the DFT cell and can differ from measured ones.

Top 10 peaks for 10 to 80 degrees two-theta, low angle first:
| 2θ (°) | I/Imax |
| --- | --- |
| 32.08 | 100 |
| 34.45 | 64 |
| 35.15 | 70 |
| 35.93 | 42 |
| 37.58 | 71 |
| 41.66 | 67 |
| 43.18 | 41 |
| 43.83 | 63 |
| 56.91 | 34 |
| 71.54 | 34 |

Structural model:
abc: 5.2909 5.2909 12.3199
angles: 90.00 90.00 134.05
Element x y z (fractional)
Er (0.0109, 0.9891, 0.7500)
Er (0.2795, 0.7205, 0.1030)
Er (0.2795, 0.7205, 0.3970)
Er (0.7205, 0.2795, 0.6030)
Er (0.7205, 0.2795, 0.8970)
Er (0.9891, 0.0109, 0.2500)
Co (0.3110, 0.6890, 0.7500)
Co (0.4304, 0.5696, 0.5885)
Co (0.4304, 0.5696, 0.9115)
Co (0.5696, 0.4304, 0.0885)
Co (0.5696, 0.4304, 0.4115)
Co (0.6890, 0.3110, 0.2500)
Ni (0.0000, 0.0000, 0.0000)
Ni (0.0000, 0.0000, 0.5000)



No. 4
Theoretical powder diffraction line list
Compound: Sm5Dy2Ho3
Radiation: λ = 1.5418 Å (Cu Kα)
Structure: a DFT-relaxed cell (GGA-PBE, Alexandria)
Peak positions follow from Bragg's law for the DFT cell and can differ from measured ones.

Top 10 peaks for 10 to 80 degrees two-theta, low angle first:
| 2θ (°) | I/Imax |
| --- | --- |
| 29.77 | 97 |
| 31.02 | 100 |
| 32.16 | 23 |
| 33.54 | 47 |
| 36.64 | 23 |
| 49.09 | 22 |
| 58.40 | 17 |
| 60.77 | 23 |
| 63.84 | 24 |
| 68.68 | 19 |

Structural model:
abc: 9.2254 9.2254 9.8527
angles: 108.29 108.29 109.21
Element x y z (fractional)
Sm (0.0234, 0.9766, 0.7500)
Sm (0.1194, 0.3650, 0.7336)
Sm (0.2269, 0.7731, 0.7500)
Sm (0.2707, 0.7293, 0.2500)
Sm (0.3650, 0.1194, 0.2336)
Sm (0.6350, 0.8806, 0.7664)
Sm (0.7293, 0.2707, 0.7500)
Sm (0.7731, 0.2269, 0.2500)
Sm (0.8806, 0.6350, 0.2664)
Sm (0.9766, 0.0234, 0.2500)
Dy (0.2287, 0.4764, 0.4462)
Dy (0.4764, 0.2287, 0.9462)
Dy (0.5236, 0.7713, 0.0538)
Dy (0.7713, 0.5236, 0.5538)
Ho (0.0332, 0.2801, 0.0538)
Ho (0.2801, 0.0332, 0.5538)
Ho (0.4785, 0.5215, 0.2500)
Ho (0.5215, 0.4785, 0.7500)
Ho (0.7199, 0.9668, 0.4462)
Ho (0.9668, 0.7199, 0.9462)



No. 5
Theoretical powder diffraction line list
Compound: Ce4IrAu2
Radiation: λ = 1.5418 Å (Cu Kα)
Structure: a DFT-relaxed cell (GGA-PBE, Alexandria)
Peak positions follow from Bragg's law for the DFT cell and can differ from measured ones.

Top 10 peaks for 10 to 80 degrees two-theta, low angle first:
| 2θ (°) | I/Imax |
| --- | --- |
| 14.76 | 57 |
| 25.67 | 87 |
| 32.13 | 85 |
| 33.04 | 100 |
| 37.66 | 34 |
| 38.21 | 37 |
| 38.78 | 41 |
| 44.17 | 74 |
| 46.00 | 38 |
| 57.21 | 33 |

Structural model:
abc: 7.1990 3.9458 7.6690
angles: 90.00 107.98 90.00
Element x y z (fractional)
Ce (0.0907, 0.0000, 0.2838)
Ce (0.4000, 0.5000, 0.7283)
Ce (0.6000, 0.5000, 0.2717)
Ce (0.9093, 0.0000, 0.7162)
Ir (0.0000, 0.5000, 0.5000)
Au (0.3019, 0.0000, 0.0046)
Au (0.6981, 0.0000, 0.9954)



No. 6
Theoretical powder diffraction line list
Compound: CsSrZnF6
Radiation: λ = 1.5418 Å (Cu Kα)
Structure: a DFT-relaxed cell (GGA-PBE, Alexandria)
Peak positions follow from Bragg's law for the DFT cell and can differ from measured ones.

Top 10 peaks for 10 to 80 degrees two-theta, low angle first:
| 2θ (°) | I/Imax |
| --- | --- |
| 23.42 | 60 |
| 26.29 | 99 |
| 26.66 | 100 |
| 28.10 | 28 |
| 28.28 | 53 |
| 28.57 | 49 |
| 42.02 | 37 |
| 42.71 | 37 |
| 46.16 | 29 |
| 47.90 | 72 |

Structural model:
abc: 7.6298 7.6298 7.6298
angles: 117.94 116.12 95.24
Element x y z (fractional)
Cs (0.3495, 0.0995, 0.2500)
Cs (0.6505, 0.9005, 0.7500)
Sr (0.0000, 0.5000, 0.5000)
Sr (0.5000, 0.5000, 0.0000)
Zn (0.0000, 0.0000, 0.5000)
Zn (0.0000, 0.5000, 0.0000)
F (0.0394, 0.3405, 0.1424)
F (0.0394, 0.8970, 0.6989)
F (0.0661, 0.3161, 0.7500)
F (0.3019, 0.1030, 0.6424)
F (0.3019, 0.6595, 0.1989)
F (0.3701, 0.6201, 0.7500)
F (0.6299, 0.3799, 0.2500)
F (0.6981, 0.3405, 0.8011)
F (0.6981, 0.8970, 0.3576)
F (0.9339, 0.6839, 0.2500)
F (0.9606, 0.1030, 0.3011)
F (0.9606, 0.6595, 0.8576)